Starting from a GGA-PBE-relaxed structure, the powder diffractogram of ZnS was computed for a wavelength of 1.5418 Å.
Lines closer than 0.1° are merged.

Largest 10 diffraction maxima, most intense first, 2θ from 5° to 70°:
- d = 3.148 Å, 2θ 28.3, I 100, hkl 0 0 6
- d = 1.927 Å, 2θ 47.2, I 73, hkl 1 1 0
- d = 1.644 Å, 2θ 55.9, I 49, hkl 1 1 6
- d = 3.286 Å, 2θ 27.1, I 35, hkl 1 0 1
- d = 2.949 Å, 2θ 30.3, I 31, hkl 1 0 3
- d = 1.778 Å, 2θ 51.4, I 22, hkl 1 0 9
- d = 2.726 Å, 2θ 32.9, I 9, hkl 1 0 4
- d = 2.099 Å, 2θ 43.1, I 9, hkl 1 0 7
- d = 1.363 Å, 2θ 68.9, I 7, hkl 2 0 8
- d = 1.613 Å, 2θ 57.1, I 5, hkl 2 0 3

Atomic structure:
```
data_ZnS
_chemical_formula_sum 'Zn6 S6'
_cell_length_a 3.8530
_cell_length_b 3.8530
_cell_length_c 18.9038
_cell_angle_alpha 90.00
_cell_angle_beta 90.00
_cell_angle_gamma 120.00
_space_group_name_H-M_alt 'P 63 m c'
_space_group_IT_number 186
_space_group_name_Hall 'P 6c -2c'
loop_
_atom_site_label
_atom_site_type_symbol
_atom_site_fract_x
_atom_site_fract_y
_atom_site_fract_z
_atom_site_occupancy
Zn1 Zn 0.0000 0.0000 0.0000 1
Zn2 Zn 0.3333 0.6667 0.1668 1
Zn3 Zn 0.3333 0.6667 0.8333 1
S1 S 0.0000 0.0000 0.1251 1
S2 S 0.3333 0.6667 0.2916 1
S3 S 0.3333 0.6667 0.9581 1
```



Starting from a GGA-PBE-relaxed structure, the powder diffractogram of ZnS was computed for a wavelength of 1.5418 Å.
Lines closer than 0.1° are merged.

Largest 10 diffraction maxima, most intense first, 2θ from 5° to 70°:
- d = 3.168 Å, 2θ 28.2, I 100, hkl 0 1 5
- d = 1.927 Å, 2θ 47.2, I 67, hkl 1 1 0
- d = 1.644 Å, 2θ 55.9, I 59, hkl 1 1 16
- d = 3.150 Å, 2θ 28.3, I 55, hkl 0 0 16
- d = 1.948 Å, 2θ 46.6, I 38, hkl 0 1 21
- d = 3.102 Å, 2θ 28.8, I 37, hkl 0 1 6
- d = 1.889 Å, 2θ 48.2, I 17, hkl 0 1 22
- d = 2.698 Å, 2θ 33.2, I 14, hkl 1 0 11
- d = 1.370 Å, 2θ 68.5, I 11, hkl 2 0 21
- d = 1.629 Å, 2θ 56.5, I 11, hkl 1 0 27

Atomic structure:
```
data_ZnS
_chemical_formula_sum 'Zn16 S16'
_cell_length_a 3.8540
_cell_length_b 3.8540
_cell_length_c 50.3930
_cell_angle_alpha 90.00
_cell_angle_beta 90.00
_cell_angle_gamma 120.00
_space_group_name_H-M_alt 'P 3 m 1'
_space_group_IT_number 156
loop_
_space_group_symop_operation_xyz
'x,y,z'
'-y,x-y,z'
'-x+y,-x,z'
'-y,-x,z'
'-x+y,y,z'
'x,x-y,z'
loop_
_atom_site_label
_atom_site_type_symbol
_atom_site_fract_x
_atom_site_fract_y
_atom_site_fract_z
_atom_site_occupancy
Zn1 Zn 0.0000 0.0000 0.0000 1
Zn2 Zn 0.0000 0.0000 0.1250 1
Zn3 Zn 0.0000 0.0000 0.3125 1
Zn4 Zn 0.0000 0.0000 0.5000 1
Zn5 Zn 0.0000 0.0000 0.6875 1
Zn6 Zn 0.0000 0.0000 0.8750 1
Zn7 Zn 0.3333 0.6667 0.1875 1
Zn8 Zn 0.3333 0.6667 0.3750 1
Zn9 Zn 0.3333 0.6667 0.5625 1
Zn10 Zn 0.3333 0.6667 0.7500 1
Zn11 Zn 0.3333 0.6667 0.9375 1
Zn12 Zn 0.6667 0.3333 0.0625 1
Zn13 Zn 0.6667 0.3333 0.2500 1
Zn14 Zn 0.6667 0.3333 0.4375 1
Zn15 Zn 0.6667 0.3333 0.6250 1
Zn16 Zn 0.6667 0.3333 0.8125 1
S1 S 0.0000 0.0000 0.0468 1
S2 S 0.0000 0.0000 0.1718 1
S3 S 0.0000 0.0000 0.3593 1
S4 S 0.0000 0.0000 0.5468 1
S5 S 0.0000 0.0000 0.7343 1
S6 S 0.0000 0.0000 0.9218 1
S7 S 0.3333 0.6667 0.2343 1
S8 S 0.3333 0.6667 0.4218 1
S9 S 0.3333 0.6667 0.6093 1
S10 S 0.3333 0.6667 0.7968 1
S11 S 0.3333 0.6667 0.9844 1
S12 S 0.6667 0.3333 0.1094 1
S13 S 0.6667 0.3333 0.2968 1
S14 S 0.6667 0.3333 0.4843 1
S15 S 0.6667 0.3333 0.6718 1
S16 S 0.6667 0.3333 0.8593 1
```